This entry pairs a crystal structure of Y12Tm2Zr with its simulated X-ray powder pattern. Radiation: Cu Kα (λ = 1.5418 Å). Structure: a structure optimized by DFT (GGA-PBE).
Lines closer than 0.1° are merged.

Cell and atoms:
abc: 6.6208 6.6208 24.3307
angles: 94.28 94.28 115.50
Fractional coordinates of all 30 atoms:
Y (0.0665, 0.0665, 0.3929)
Y (0.0809, 0.0809, 0.9097)
Y (0.1087, 0.5909, 0.9438)
Y (0.1232, 0.6007, 0.4356)
Y (0.2070, 0.7626, 0.6963)
Y (0.2182, 0.6877, 0.1736)
Y (0.2374, 0.7930, 0.3037)
Y (0.3123, 0.7818, 0.8264)
Y (0.3928, 0.3928, 0.0700)
Y (0.3993, 0.8768, 0.5644)
Y (0.4091, 0.8913, 0.0562)
Y (0.4403, 0.4403, 0.6490)
Y (0.5597, 0.5597, 0.3510)
Y (0.5909, 0.1087, 0.9438)
Y (0.6007, 0.1232, 0.4356)
Y (0.6072, 0.6072, 0.9300)
Y (0.6877, 0.2182, 0.1736)
Y (0.7626, 0.2070, 0.6963)
Y (0.7818, 0.3123, 0.8264)
Y (0.7930, 0.2374, 0.3037)
Y (0.8768, 0.3993, 0.5644)
Y (0.8913, 0.4091, 0.0562)
Y (0.9191, 0.9191, 0.0903)
Y (0.9335, 0.9335, 0.6071)
Tm (0.2242, 0.2242, 0.2317)
Tm (0.2619, 0.2619, 0.7753)
Tm (0.7381, 0.7381, 0.2247)
Tm (0.7758, 0.7758, 0.7683)
Zr (0.3226, 0.3226, 0.5204)
Zr (0.6774, 0.6774, 0.4796)

Principal peaks in the range 2θ from 15° to 90°, by angle:
2theta  intensity
30.1  9
30.5  28
31.3  13
31.5  13
31.9  45
32.0  100
33.8  26
45.4  13
51.8  10
56.9  11
57.0  11
62.1  13



This entry pairs a crystal structure of CePm3Ru3 with its simulated X-ray powder pattern. Radiation: Cu Kα (λ = 1.5418 Å). Structure: a structure optimized by DFT (GGA-PBE).
Lines closer than 0.1° are merged.

Cell and atoms:
abc: 5.9215 5.9215 5.9215
angles: 108.80 108.80 108.80
Fractional coordinates of all 7 atoms:
Ce (0.0000, 0.0000, 0.0000)
Pm (0.1927, 0.5993, 0.5993)
Pm (0.5993, 0.1927, 0.5993)
Pm (0.5993, 0.5993, 0.1927)
Ru (0.1000, 0.1000, 0.6332)
Ru (0.1000, 0.6332, 0.1000)
Ru (0.6332, 0.1000, 0.1000)

Principal peaks in the range 2θ from 15° to 90°, by angle:
2theta  intensity
25.9  16
31.2  43
31.9  42
32.2  49
36.4  100
37.4  92
41.1  19
50.1  13
53.2  17
56.8  44
70.5  16
80.4  15



This entry pairs a crystal structure of Pm4Al16Co3 with its simulated X-ray powder pattern. Radiation: Cu Kα (λ = 1.5418 Å). Structure: a structure optimized by DFT (GGA-PBE).
Lines closer than 0.1° are merged.

Cell and atoms:
abc: 6.0870 6.0870 11.3332
angles: 90.00 90.00 90.00
Fractional coordinates of all 23 atoms:
Pm (0.0000, 0.5000, 0.1939)
Pm (0.0000, 0.5000, 0.8061)
Pm (0.5000, 0.0000, 0.1939)
Pm (0.5000, 0.0000, 0.8061)
Al (0.0000, 0.0000, 0.1929)
Al (0.0000, 0.0000, 0.8071)
Al (0.2242, 0.2242, 0.0000)
Al (0.2242, 0.7758, 0.0000)
Al (0.2507, 0.2507, 0.3867)
Al (0.2507, 0.2507, 0.6133)
Al (0.2507, 0.7493, 0.3867)
Al (0.2507, 0.7493, 0.6133)
Al (0.5000, 0.5000, 0.2147)
Al (0.5000, 0.5000, 0.7853)
Al (0.7493, 0.2507, 0.3867)
Al (0.7493, 0.2507, 0.6133)
Al (0.7493, 0.7493, 0.3867)
Al (0.7493, 0.7493, 0.6133)
Al (0.7758, 0.2242, 0.0000)
Al (0.7758, 0.7758, 0.0000)
Co (0.0000, 0.5000, 0.5000)
Co (0.5000, 0.0000, 0.5000)
Co (0.5000, 0.5000, 0.0000)

Principal peaks in the range 2θ from 15° to 90°, by angle:
2theta  intensity
20.6  88
26.0  31
29.3  41
31.5  85
33.4  43
38.0  100
39.8  24
42.0  69
53.4  37
59.2  29
60.9  22
74.0  26



This entry pairs a crystal structure of CaZrTl with its simulated X-ray powder pattern. Radiation: Cu Kα (λ = 1.5418 Å). Structure: a structure optimized by DFT (GGA-PBE).
Lines closer than 0.1° are merged.

Cell and atoms:
abc: 13.4316 13.4316 13.4316
angles: 164.42 164.42 22.11
Fractional coordinates of all 6 atoms:
Ca (0.0710, 0.0710, 0.0000)
Ca (0.9290, 0.9290, 0.0000)
Zr (0.2171, 0.2171, 0.0000)
Zr (0.7829, 0.7829, 0.0000)
Tl (0.3511, 0.3511, 0.0000)
Tl (0.6489, 0.6489, 0.0000)

Principal peaks in the range 2θ from 15° to 90°, by angle:
2theta  intensity
26.5  37
34.2  100
34.8  50
35.5  12
37.5  9
39.5  18
49.5  9
50.1  18
57.6  9
60.9  16
62.1  35
72.2  10



This entry pairs a crystal structure of Ca3TmAu4 with its simulated X-ray powder pattern. Radiation: Cu Kα (λ = 1.5418 Å). Structure: a structure optimized by DFT (GGA-PBE).
Lines closer than 0.1° are merged.

Cell and atoms:
abc: 3.6121 3.6121 14.5349
angles: 90.00 90.00 90.00
Fractional coordinates of all 8 atoms:
Ca (0.0000, 0.0000, 0.0000)
Ca (0.0000, 0.0000, 0.2520)
Ca (0.0000, 0.0000, 0.7480)
Tm (0.0000, 0.0000, 0.5000)
Au (0.5000, 0.5000, 0.1259)
Au (0.5000, 0.5000, 0.3888)
Au (0.5000, 0.5000, 0.6112)
Au (0.5000, 0.5000, 0.8741)

Principal peaks in the range 2θ from 15° to 90°, by angle:
2theta  intensity
24.5  12
24.6  26
35.0  100
35.1  52
43.3  11
50.2  8
50.5  18
57.0  11
62.8  16
63.0  36
74.0  10
84.9  17



This entry pairs a crystal structure of Rb2MgCd7 with its simulated X-ray powder pattern. Radiation: Cu Kα (λ = 1.5418 Å). Structure: a structure optimized by DFT (GGA-PBE).
Lines closer than 0.1° are merged.

Cell and atoms:
abc: 4.8585 4.8585 13.1202
angles: 90.00 90.00 90.00
Fractional coordinates of all 10 atoms:
Rb (0.0000, 0.5000, 0.2481)
Rb (0.5000, 0.0000, 0.7519)
Mg (0.0000, 0.0000, 0.5000)
Cd (0.0000, 0.0000, 0.0000)
Cd (0.0000, 0.5000, 0.6361)
Cd (0.0000, 0.5000, 0.8628)
Cd (0.5000, 0.0000, 0.1372)
Cd (0.5000, 0.0000, 0.3639)
Cd (0.5000, 0.5000, 0.0000)
Cd (0.5000, 0.5000, 0.5000)

Principal peaks in the range 2θ from 15° to 90°, by angle:
2theta  intensity
19.5  28
27.4  59
29.3  100
37.0  72
37.9  54
39.0  44
46.7  27
53.3  24
54.9  32
62.0  22
67.3  18
69.1  18